Structure and simulated X-ray powder pattern of Cs3Rb5Se4O16 (a crystal structure in the Materials Project, relaxed with PBE; Cu Kα).

Peak list (10 most intense, 15 to 90 degrees two-theta, low angle first)
2θ (°), I_rel
23.6, 21
25.4, 19
26.6, 100
27.6, 98
27.8, 60
32.1, 17
33.1, 17
38.8, 27
49.1, 18
57.4, 21

Cell and atoms:
Unit cell a=8.372 b=6.423 c=11.198 alpha=90.00 beta=90.04 gamma=90.00
Sites, in units of the cell vectors:
Cs 0.000 0.000 0.000
Cs 0.155 0.500 0.500
Cs 0.654 0.500 0.178
Rb 0.320 0.000 0.295
Rb 0.334 0.500 0.883
Rb 0.502 0.000 0.677
Rb 0.820 0.000 0.383
Rb 0.834 0.500 0.795
Se 0.055 0.000 0.669
Se 0.099 0.500 0.169
Se 0.555 0.000 0.008
Se 0.599 0.500 0.510
O 0.030 0.500 0.028
O 0.031 0.286 0.239
O 0.031 0.714 0.239
O 0.124 0.000 0.528
O 0.124 0.214 0.739
O 0.124 0.786 0.739
O 0.299 0.500 0.170
O 0.356 0.000 0.008
O 0.530 0.500 0.651
O 0.531 0.285 0.440
O 0.531 0.715 0.440
O 0.623 0.214 0.938
O 0.623 0.786 0.938
O 0.624 0.000 0.150
O 0.798 0.500 0.508
O 0.855 0.000 0.670


Structure and simulated X-ray powder pattern of CsReO2 (a crystal structure in the Materials Project, relaxed with PBE; Cu Kα).

Peak list (10 most intense, 15 to 90 degrees two-theta, low angle first)
2θ (°), I_rel
24.7, 56
29.2, 100
37.6, 34
45.5, 39
46.4, 29
54.2, 11
60.5, 16
62.8, 27
64.8, 13
74.1, 17

Cell and atoms:
Unit cell a=8.644 b=8.644 c=8.644 alpha=133.92 beta=133.92 gamma=67.21
Sites, in units of the cell vectors:
Cs 0.000 0.000 0.000
Cs 0.500 0.000 0.000
Cs 0.500 0.000 0.500
Cs 0.500 0.500 0.500
Re 0.000 0.000 0.500
Re 0.000 0.500 0.000
Re 0.000 0.500 0.500
Re 0.500 0.500 0.000
O 0.158 0.232 0.911
O 0.179 0.752 0.411
O 0.252 0.342 0.574
O 0.268 0.679 0.926
O 0.732 0.321 0.074
O 0.748 0.658 0.426
O 0.821 0.248 0.589
O 0.842 0.768 0.089


Structure and simulated X-ray powder pattern of CsSO4 (a crystal structure in the Materials Project, relaxed with PBE; Cu Kα).

Peak list (10 most intense, 15 to 90 degrees two-theta, low angle first)
2θ (°), I_rel
18.4, 15
23.8, 54
24.8, 100
25.9, 47
27.0, 30
29.0, 34
33.8, 15
34.8, 20
38.3, 14
38.7, 15

Cell and atoms:
Unit cell a=6.669 b=8.548 c=9.928 alpha=90.00 beta=123.33 gamma=90.00
Sites, in units of the cell vectors:
Cs 0.077 0.120 0.347
Cs 0.077 0.380 0.847
Cs 0.923 0.620 0.153
Cs 0.923 0.880 0.653
S 0.437 0.642 0.640
S 0.437 0.858 0.140
S 0.563 0.142 0.860
S 0.563 0.358 0.360
O 0.274 0.586 0.683
O 0.274 0.914 0.183
O 0.310 0.150 0.728
O 0.310 0.350 0.228
O 0.353 0.722 0.034
O 0.353 0.778 0.534
O 0.415 0.013 0.028
O 0.415 0.487 0.528
O 0.585 0.513 0.472
O 0.585 0.987 0.972
O 0.647 0.222 0.466
O 0.647 0.278 0.966
O 0.690 0.650 0.772
O 0.690 0.850 0.272
O 0.726 0.086 0.817
O 0.726 0.414 0.317


Structure and simulated X-ray powder pattern of Cs2S5O (a crystal structure in the Materials Project, relaxed with PBE; Cu Kα).

Peak list (10 most intense, 15 to 90 degrees two-theta, low angle first)
2θ (°), I_rel
15.9, 46
18.5, 51
20.8, 48
22.4, 69
23.3, 36
25.0, 77
26.8, 84
26.9, 100
29.9, 51
33.5, 37

Cell and atoms:
Unit cell a=6.833 b=8.450 c=10.274 alpha=70.63 beta=76.89 gamma=81.22
Sites, in units of the cell vectors:
Cs 0.181 0.196 0.332
Cs 0.267 0.355 0.831
Cs 0.733 0.645 0.169
Cs 0.819 0.804 0.668
S 0.089 0.784 0.302
S 0.251 0.640 0.451
S 0.263 0.878 0.071
S 0.290 0.710 0.967
S 0.353 0.789 0.539
S 0.647 0.211 0.461
S 0.710 0.290 0.033
S 0.737 0.122 0.929
S 0.749 0.360 0.549
S 0.911 0.216 0.698
O 0.094 0.694 0.924
O 0.906 0.306 0.076


Structure and simulated X-ray powder pattern of CsSO4 (a crystal structure in the Materials Project, relaxed with PBE; Cu Kα).

Peak list (10 most intense, 15 to 90 degrees two-theta, low angle first)
2θ (°), I_rel
19.2, 18
23.5, 100
24.6, 46
27.1, 76
29.8, 27
32.6, 18
34.2, 15
36.0, 13
39.0, 25
40.2, 35

Cell and atoms:
Unit cell a=5.557 b=5.990 c=7.436 alpha=90.00 beta=102.84 gamma=90.00
Sites, in units of the cell vectors:
Cs 0.032 0.250 0.229
Cs 0.968 0.750 0.771
S 0.452 0.250 0.736
S 0.548 0.750 0.264
O 0.279 0.750 0.195
O 0.320 0.250 0.890
O 0.370 0.044 0.626
O 0.370 0.456 0.626
O 0.630 0.544 0.374
O 0.630 0.956 0.374
O 0.680 0.750 0.110
O 0.721 0.250 0.805


Structure and simulated X-ray powder pattern of Cs5S4O16 (a crystal structure in the Materials Project, relaxed with PBE; Cu Kα).

Peak list (10 most intense, 15 to 90 degrees two-theta, low angle first)
2θ (°), I_rel
21.5, 50
22.1, 41
23.6, 65
24.1, 34
25.9, 65
27.1, 63
28.5, 100
35.2, 44
38.2, 20
48.8, 21

Cell and atoms:
Unit cell a=6.281 b=6.281 c=30.576 alpha=90.00 beta=90.00 gamma=116.92
Sites, in units of the cell vectors:
Cs 0.021 0.979 0.750
Cs 0.330 0.670 0.032
Cs 0.330 0.670 0.468
Cs 0.352 0.648 0.633
Cs 0.352 0.648 0.867
Cs 0.648 0.352 0.133
Cs 0.648 0.352 0.367
Cs 0.670 0.330 0.532
Cs 0.670 0.330 0.968
Cs 0.979 0.021 0.250
S 0.001 0.999 0.074
S 0.001 0.999 0.426
S 0.308 0.692 0.183
S 0.308 0.692 0.317
S 0.692 0.308 0.683
S 0.692 0.308 0.817
S 0.999 0.001 0.574
S 0.999 0.001 0.926
O 0.004 0.996 0.622
O 0.004 0.996 0.878
O 0.054 0.574 0.197
O 0.054 0.574 0.303
O 0.120 0.252 0.557
O 0.120 0.252 0.943
O 0.132 0.868 0.558
O 0.132 0.868 0.942
O 0.252 0.120 0.057
O 0.252 0.120 0.443
O 0.325 0.675 0.135
O 0.325 0.675 0.365
O 0.426 0.946 0.197
O 0.426 0.946 0.303
O 0.436 0.564 0.203
O 0.436 0.564 0.297
O 0.564 0.436 0.703
O 0.564 0.436 0.797
O 0.574 0.054 0.697
O 0.574 0.054 0.803
O 0.675 0.325 0.635
O 0.675 0.325 0.865
O 0.748 0.880 0.557
O 0.748 0.880 0.943
O 0.868 0.132 0.058
O 0.868 0.132 0.442
O 0.880 0.748 0.057
O 0.880 0.748 0.443
O 0.946 0.426 0.697
O 0.946 0.426 0.803
O 0.996 0.004 0.122
O 0.996 0.004 0.378


Structure and simulated X-ray powder pattern of CsSO4 (a crystal structure in the Materials Project, relaxed with PBE; Cu Kα).

Peak list (10 most intense, 15 to 90 degrees two-theta, low angle first)
2θ (°), I_rel
16.0, 13
17.2, 19
24.1, 95
24.6, 100
27.1, 41
31.3, 45
37.8, 22
39.8, 12
41.9, 20
50.4, 20

Cell and atoms:
Unit cell a=7.974 b=8.297 c=7.946 alpha=90.00 beta=111.67 gamma=90.00
Sites, in units of the cell vectors:
Cs 0.221 0.124 0.212
Cs 0.221 0.376 0.712
Cs 0.779 0.624 0.288
Cs 0.779 0.876 0.788
S 0.252 0.633 0.229
S 0.252 0.867 0.729
S 0.748 0.133 0.271
S 0.748 0.367 0.771
O 0.102 0.745 0.139
O 0.102 0.755 0.639
O 0.192 0.004 0.811
O 0.192 0.496 0.311
O 0.329 0.567 0.095
O 0.329 0.933 0.595
O 0.409 0.720 0.362
O 0.409 0.780 0.862
O 0.591 0.220 0.138
O 0.591 0.280 0.638
O 0.671 0.067 0.405
O 0.671 0.433 0.905
O 0.808 0.504 0.689
O 0.808 0.996 0.189
O 0.898 0.245 0.361
O 0.898 0.255 0.861


Structure and simulated X-ray powder pattern of CsSO4 (a crystal structure in the Materials Project, relaxed with PBE; Cu Kα).

Peak list (10 most intense, 15 to 90 degrees two-theta, low angle first)
2θ (°), I_rel
19.3, 19
23.7, 100
24.7, 47
27.4, 76
29.9, 28
34.4, 15
39.2, 26
40.5, 19
40.6, 18
51.5, 16

Cell and atoms:
Unit cell a=8.146 b=5.981 c=10.913 alpha=90.00 beta=117.94 gamma=90.00
Sites, in units of the cell vectors:
Cs 0.230 0.244 0.349
Cs 0.230 0.256 0.849
Cs 0.770 0.744 0.151
Cs 0.770 0.756 0.651
S 0.263 0.745 0.107
S 0.263 0.755 0.607
S 0.737 0.245 0.393
S 0.737 0.255 0.893
O 0.108 0.737 0.961
O 0.108 0.763 0.461
O 0.193 0.746 0.209
O 0.193 0.754 0.709
O 0.367 0.545 0.616
O 0.367 0.955 0.116
O 0.380 0.542 0.125
O 0.380 0.958 0.625
O 0.620 0.042 0.375
O 0.620 0.458 0.875
O 0.633 0.045 0.884
O 0.633 0.455 0.384
O 0.807 0.246 0.291
O 0.807 0.254 0.791
O 0.892 0.237 0.539
O 0.892 0.263 0.039